# 1
# K2LiIn
Theoretical powder XRD pattern, λ = 1.5418 Å (Cu Kα). Input: the PBE geometry in Alexandria.
Peak positions follow from Bragg's law for the DFT cell and can differ from measured ones.

Top 10 peaks for 2θ = 15–90°, by angle:
Position (°2θ), d [Å], I (rel.)
16.6, 5.352, 54.8
23.2, 3.834, 50.1
28.6, 3.117, 100.0
32.6, 2.748, 17.6
33.5, 2.676, 32.6
36.8, 2.445, 15.2
37.6, 2.394, 14.3
41.1, 2.195, 22.1
47.4, 1.917, 23.0
55.7, 1.649, 13.8

Cell and atoms:
a = 5.345 Å, b = 5.359 Å, c = 5.496 Å
α = 90.00°, β = 90.00°, γ = 90.00°
Space group Pmmm (No. 47)
One atom of each set of equivalent atoms:
K: 0.000 0.000 0.000 [1 per cell]
K: 0.500 0.500 0.000 [1 per cell]
Li: 0.000 0.500 0.500 [1 per cell]
In: 0.500 0.000 0.500 [1 per cell]

---

# 2
# CsLiTaO4
Theoretical powder XRD pattern, λ = 1.5418 Å (Cu Kα). Input: the PBE geometry in Alexandria.
Peak positions follow from Bragg's law for the DFT cell and can differ from measured ones.

Top 10 peaks for 2θ = 15–90°, by angle:
Position (°2θ), d [Å], I (rel.)
17.9, 4.949, 13.8
20.7, 4.300, 38.3
20.8, 4.278, 76.7
29.5, 3.031, 100.0
36.3, 2.474, 37.6
47.3, 1.921, 17.0
47.5, 1.914, 34.0
52.2, 1.753, 14.7
52.3, 1.748, 27.5
65.3, 1.429, 13.6

Cell and atoms:
a = 6.050 Å, b = 6.050 Å, c = 8.601 Å
α = 90.00°, β = 90.00°, γ = 90.00°
Space group I-4 (No. 82)
One atom of each set of equivalent atoms:
Cs: 0.000 0.000 0.000 [2 per cell]
Li: 0.000 0.500 0.750 [2 per cell]
Ta: 0.000 0.000 0.500 [2 per cell]
O: 0.068 0.244 0.624 [8 per cell]

---

# 3
# AcPr6Nd2
Theoretical powder XRD pattern, λ = 1.5418 Å (Cu Kα). Input: the PBE geometry in Alexandria.
Peak positions follow from Bragg's law for the DFT cell and can differ from measured ones.

Top 10 peaks for 2θ = 15–90°, by angle:
Position (°2θ), d [Å], I (rel.)
26.3, 3.386, 48.6
29.3, 3.044, 88.5
30.0, 2.980, 47.2
33.8, 2.654, 100.0
40.3, 2.237, 31.3
50.0, 1.826, 21.4
52.8, 1.733, 17.2
55.7, 1.650, 22.7
59.4, 1.557, 25.2
60.1, 1.540, 23.4

Cell and atoms:
a = 3.572 Å, b = 10.621 Å, c = 17.881 Å
α = 90.00°, β = 90.00°, γ = 90.00°
Space group Immm (No. 71)
One atom of each set of equivalent atoms:
Ac: 0.000 0.000 0.000 [2 per cell]
Pr: 0.000 0.183 0.500 [4 per cell]
Pr: 0.000 0.193 0.168 [8 per cell]
Nd: 0.000 0.000 0.332 [4 per cell]

---

# 4
# K2Na2Au15
Theoretical powder XRD pattern, λ = 1.5418 Å (Cu Kα). Input: the PBE geometry in Alexandria.
Peak positions follow from Bragg's law for the DFT cell and can differ from measured ones.

Top 10 peaks for 2θ = 15–90°, by angle:
Position (°2θ), d [Å], I (rel.)
17.9, 4.957, 82.8
36.2, 2.478, 25.7
36.8, 2.442, 83.2
38.4, 2.342, 33.8
41.2, 2.191, 100.0
42.7, 2.118, 24.5
59.3, 1.558, 17.8
65.2, 1.431, 20.2
71.4, 1.321, 17.2
78.3, 1.221, 21.7

Cell and atoms:
a = 9.9131 Å, b = 9.9131 Å, c = 14.0541 Å
α = 90.00°, β = 90.00°, γ = 120.00°
Space group R-3m (No. 166, hexagonal axes)
One atom of each set of equivalent atoms:
K: 0.0000 0.0000 0.1517 [6 per cell]
Na: 0.0000 0.0000 0.3991 [6 per cell]
Au: 0.0000 0.3102 0.5000 [18 per cell]
Au: 0.0000 0.5000 0.0000 [9 per cell]
Au: 0.0017 0.5009 0.6569 [18 per cell]